The following is a computed XRD peak list of Ca2Pr19Co3I36. It was derived from a PBE-relaxed structure, using Cu Ka.

Structure:
```
data_Ca2Pr19Co3I36
_chemical_formula_sum 'Ca2 Pr19 Co3 I36'
_space_group_name_H-M_alt 'P -1'
_space_group_IT_number 2
_cell_length_a 10.0192
_cell_length_b 10.0679
_cell_length_c 26.5487
_cell_angle_alpha 93.60
_cell_angle_beta 93.62
_cell_angle_gamma 106.85
loop_
_space_group_symop_operation_xyz
'x,y,z'
'-x,-y,-z'
loop_
_atom_site_label
_atom_site_type_symbol
_atom_site_fract_x
_atom_site_fract_y
_atom_site_fract_z
Ca1 Ca 0.1672 0.1667 0.3333
Pr1 Pr 0.0747 0.8744 0.8247
Pr2 Pr 0.0894 0.1640 0.9325
Pr3 Pr 0.0985 0.8264 0.1997
Pr4 Pr 0.2409 0.1660 0.7334
Pr5 Pr 0.2432 0.5070 0.4680
Pr6 Pr 0.2558 0.4563 0.8411
Pr7 Pr 0.4075 0.2037 0.4916
Pr8 Pr 0.4221 0.5001 0.6015
Pr9 Pr 0.4295 0.1565 0.8654
Pr10 Pr 0.5000 0.5000 0.0000
Co1 Co 0.1662 0.1660 0.8334
Co2 Co 0.5000 0.5000 0.5000
I1 I 0.0118 0.1659 0.0596
I2 I 0.0366 0.4895 0.1896
I3 I 0.0624 0.8391 0.3207
I4 I 0.0908 0.1710 0.4466
I5 I 0.1033 0.4957 0.5740
I6 I 0.1347 0.8305 0.7061
I7 I 0.1956 0.5035 0.9615
I8 I 0.2305 0.8362 0.0917
I9 I 0.2447 0.1631 0.2201
I10 I 0.2730 0.4946 0.3464
I11 I 0.2978 0.8426 0.4760
I12 I 0.3221 0.1688 0.6070
I13 I 0.3447 0.4983 0.7272
I14 I 0.3677 0.8213 0.8583
I15 I 0.3963 0.1702 0.9884
I16 I 0.4202 0.5021 0.1134
I17 I 0.4365 0.8272 0.2412
I18 I 0.4690 0.1639 0.3727
```

Main lines, in order of rising 2θ (10 to 90 degrees two-theta):
(1 0 1), 2θ 10.08, rel. 19.9; (1 -1 0), 2θ 10.95, rel. 23.1; (2 1 -3), 2θ 24.26, rel. 22.7; (0 3 0), 2θ 27.86, rel. 100.0; (3 -1 2), 2θ 28.02, rel. 48.1; (-1 3 8), 2θ 39.48, rel. 34.8; (3 2 2), 2θ 39.60, rel. 17.7; (1 3 -8), 2θ 40.15, rel. 17.9; (-4 1 6), 2θ 40.30, rel. 34.6; (-4 4 6), 2θ 49.73, rel. 18.0; (0 6 0), 2θ 57.56, rel. 12.2; (-1 6 8), 2θ 64.63, rel. 9.9